The following is a computed X-ray diffraction stick pattern of KZrSe. It was derived from a PBE-relaxed structure, using Cu Ka.
Intensities are scaled so that the largest is 100.

Structural model:
```
data_KZrSe
_chemical_formula_sum 'K4 Zr4 Se4'
_space_group_name_H-M_alt 'F -4 3 m'
_space_group_IT_number 216
_space_group_name_Hall 'F -4 2 3'
_cell_length_a 7.003
_cell_length_b 7.003
_cell_length_c 7.003
_cell_angle_alpha 90.00
_cell_angle_beta 90.00
_cell_angle_gamma 90.00
loop_
_atom_site_label
_atom_site_type_symbol
_atom_site_fract_x
_atom_site_fract_y
_atom_site_fract_z
K1 K 0.000 0.000 0.000
Zr1 Zr 0.000 0.000 0.500
Se1 Se 0.250 0.250 0.750
```

Peak list (6 most intense, 10° ≤ 2θ ≤ 80°, sorted by position)
| 2θ/deg | I/Imax |
| --- | --- |
| 21.98 | 49 |
| 36.28 | 100 |
| 42.83 | 25 |
| 52.25 | 17 |
| 57.35 | 11 |
| 65.27 | 33 |

=====

The following is a computed X-ray diffraction stick pattern of K4Zn2SiSn. It was derived from a PBE-relaxed structure, using Cu Ka.
Intensities are scaled so that the largest is 100.

Structural model:
```
data_K4Zn2SiSn
_chemical_formula_sum 'K8 Zn4 Si2 Sn2'
_space_group_name_H-M_alt 'A m m 2'
_space_group_IT_number 38
_cell_length_a 6.273
_cell_length_b 10.691
_cell_length_c 7.984
_cell_angle_alpha 90.00
_cell_angle_beta 90.00
_cell_angle_gamma 90.00
loop_
_space_group_symop_operation_xyz
'x,y,z'
'-x,-y,z'
'-x,y,z'
'x,-y,z'
'x,y+1/2,z+1/2'
'-x,-y+1/2,z+1/2'
'-x,y+1/2,z+1/2'
'x,-y+1/2,z+1/2'
loop_
_atom_site_label
_atom_site_type_symbol
_atom_site_fract_x
_atom_site_fract_y
_atom_site_fract_z
K1 K 0.000 0.166 0.000
K2 K 0.500 0.175 0.292
Zn1 Zn 0.268 0.000 0.665
Si1 Si 0.500 0.000 0.900
Sn1 Sn 0.000 0.000 0.413
```

Peak list (6 most intense, 10° ≤ 2θ ≤ 80°, sorted by position)
| 2θ/deg | I/Imax |
| --- | --- |
| 13.84 | 65 |
| 16.58 | 59 |
| 27.41 | 61 |
| 30.96 | 100 |
| 31.78 | 49 |
| 40.27 | 45 |

=====

The following is a computed X-ray diffraction stick pattern of KSi5W3. It was derived from a PBE-relaxed structure, using Cu Ka.
Intensities are scaled so that the largest is 100.

Structural model:
```
data_KSi5W3
_chemical_formula_sum 'K1 Si5 W3'
_space_group_name_H-M_alt 'P 6/m m m'
_space_group_IT_number 191
_space_group_name_Hall '-P 6 2'
_cell_length_a 5.2907
_cell_length_b 5.2907
_cell_length_c 8.4218
_cell_angle_alpha 90.00
_cell_angle_beta 90.00
_cell_angle_gamma 120.00
loop_
_atom_site_label
_atom_site_type_symbol
_atom_site_fract_x
_atom_site_fract_y
_atom_site_fract_z
K1 K 0.0000 0.0000 0.0000
Si1 Si 0.0000 0.0000 0.5000
Si2 Si 0.3333 0.6667 0.2438
W1 W 0.0000 0.5000 0.5000
```

Peak list (6 most intense, 10° ≤ 2θ ≤ 80°, sorted by position)
| 2θ/deg | I/Imax |
| --- | --- |
| 10.50 | 100 |
| 21.10 | 19 |
| 22.09 | 15 |
| 39.33 | 15 |
| 40.82 | 24 |
| 45.05 | 29 |

=====

The following is a computed X-ray diffraction stick pattern of K6ZnSi2. It was derived from a PBE-relaxed structure, using Cu Ka.
Intensities are scaled so that the largest is 100.

Structural model:
```
data_K6ZnSi2
_chemical_formula_sum 'K12 Zn2 Si4'
_space_group_name_H-M_alt 'C 1 2/m 1'
_space_group_IT_number 12
_cell_length_a 10.844
_cell_length_b 5.983
_cell_length_c 10.225
_cell_angle_alpha 90.00
_cell_angle_beta 102.76
_cell_angle_gamma 90.00
loop_
_space_group_symop_operation_xyz
'x,y,z'
'-x,-y,-z'
'-x,y,-z'
'x,-y,z'
'x+1/2,y+1/2,z'
'-x+1/2,-y+1/2,-z'
'-x+1/2,y+1/2,-z'
'x+1/2,-y+1/2,z'
loop_
_atom_site_label
_atom_site_type_symbol
_atom_site_fract_x
_atom_site_fract_y
_atom_site_fract_z
K1 K 0.047 0.000 0.227
K2 K 0.180 0.500 0.072
K3 K 0.204 0.000 0.578
Zn1 Zn 0.000 0.500 0.500
Si1 Si 0.116 0.500 0.730
```

Peak list (6 most intense, 10° ≤ 2θ ≤ 80°, sorted by position)
| 2θ/deg | I/Imax |
| --- | --- |
| 27.16 | 18 |
| 29.06 | 100 |
| 29.87 | 55 |
| 30.29 | 29 |
| 33.53 | 27 |
| 52.50 | 23 |